For U2PaPdS6, a DFT-relaxed cell (PBE, Alexandria) gives the computed X-ray powder pattern in this record (Cu Ka).
No peak broadening, texture or thermal motion is included.

Peak list (10 most intense, 15 to 90 degrees two-theta, in order of rising 2θ)
(1 1 1), d 3.591, I = 100; (0 0 2), d 3.360, I = 14; (2 0 0), d 3.004, I = 31; (2 0 2), d 2.239, I = 39; (2 2 0), d 2.124, I = 22; (1 1 3), d 1.981, I = 20; (3 1 1), d 1.828, I = 32; (2 2 2), d 1.796, I = 14; (3 1 3), d 1.449, I = 15; (4 2 2), d 1.247, I = 13

Structural model:
Cell lengths 6.008, 6.008, 6.720 Å; angles 90.00, 90.00, 90.00 degrees
Space group P4mm (No. 99)
One atom of each set of equivalent atoms:
U1 0.000 0.500 0.000
Pa1 0.000 0.000 0.563
Pd1 0.500 0.500 0.488
S1 0.000 0.000 0.157
S2 0.262 0.262 0.746
S3 0.500 0.500 0.144